# Tb2Fe17
Computed powder diffractogram, λ = 1.5418 Å (Cu Kα). Input: a DFT-relaxed cell (GGA-PBE, the Materials Project).

The 8 most intense peaks (2θ = 15–90°), in order of falling intensity:
Position (°2θ), I/Imax, (hkl)
43.0, 100, 3 0 2
42.6, 58, 2 2 0
36.7, 42, 3 0 0
30.2, 40, 1 1 2
43.9, 31, 0 0 4
41.0, 29, 2 0 3
80.0, 18, 3 0 6
62.9, 17, 2 2 4

abc: 8.481 8.481 8.250
angles: 90.00 90.00 120.00
Atoms (fractional coordinates):
Tb 0.000 0.000 0.250
Tb 0.000 0.000 0.750
Tb 0.333 0.667 0.250
Tb 0.667 0.333 0.750
Fe 0.000 0.500 0.000
Fe 0.000 0.500 0.500
Fe 0.039 0.368 0.750
Fe 0.039 0.670 0.750
Fe 0.166 0.332 0.015
Fe 0.166 0.332 0.485
Fe 0.166 0.834 0.015
Fe 0.166 0.834 0.485
Fe 0.330 0.368 0.750
Fe 0.330 0.961 0.750
Fe 0.332 0.166 0.515
Fe 0.332 0.166 0.985
Fe 0.333 0.667 0.607
Fe 0.333 0.667 0.893
Fe 0.368 0.039 0.250
Fe 0.368 0.330 0.250
Fe 0.500 0.000 0.000
Fe 0.500 0.000 0.500
Fe 0.500 0.500 0.000
Fe 0.500 0.500 0.500
Fe 0.632 0.670 0.750
Fe 0.632 0.961 0.750
Fe 0.667 0.333 0.107
Fe 0.667 0.333 0.393
Fe 0.668 0.834 0.015
Fe 0.668 0.834 0.485
Fe 0.670 0.039 0.250
Fe 0.670 0.632 0.250
Fe 0.834 0.166 0.515
Fe 0.834 0.166 0.985
Fe 0.834 0.668 0.515
Fe 0.834 0.668 0.985
Fe 0.961 0.330 0.250
Fe 0.961 0.632 0.250

# AlTlBr4
Computed powder diffractogram, λ = 1.5418 Å (Cu Kα). Input: a DFT-relaxed cell (GGA-PBE, the Materials Project).

The 8 most intense peaks (2θ = 15–90°), in order of falling intensity:
Position (°2θ), I/Imax, (hkl)
27.8, 100, 1 1 3
30.3, 96, 2 2 -1
15.2, 93, 1 1 0
31.3, 88, 0 2 3
27.0, 80, 2 0 2
17.7, 67, 1 1 1
29.3, 62, 1 1 -4
29.6, 60, 2 0 -4

abc: 9.306 7.634 13.379
angles: 90.00 105.03 90.00
Atoms (fractional coordinates):
Al 0.215 0.216 0.454
Al 0.215 0.784 0.954
Al 0.785 0.216 0.046
Al 0.785 0.784 0.546
Tl 0.000 0.370 0.750
Tl 0.000 0.630 0.250
Tl 0.500 0.099 0.250
Tl 0.500 0.901 0.750
Br 0.039 0.266 0.099
Br 0.039 0.734 0.599
Br 0.282 0.063 0.911
Br 0.282 0.937 0.411
Br 0.296 0.250 0.634
Br 0.296 0.750 0.134
Br 0.334 0.421 0.374
Br 0.334 0.579 0.874
Br 0.666 0.421 0.126
Br 0.666 0.579 0.626
Br 0.704 0.250 0.866
Br 0.704 0.750 0.366
Br 0.718 0.063 0.589
Br 0.718 0.937 0.089
Br 0.961 0.266 0.401
Br 0.961 0.734 0.901